Structure and computed powder diffractogram of Co3O4 (a structure optimized by DFT (GGA+U); copper Kα).
Peak positions follow from Bragg's law for the DFT cell and can differ from measured ones.

Peak list (6 most intense, 10 to 80 degrees two-theta, by intensity)
- 2θ 35.15, I = 100.0
- 2θ 34.78, I = 97.9
- 2θ 63.68, I = 77.1
- 2θ 30.59, I = 52.1
- 2θ 36.90, I = 42.6
- 2θ 42.19, I = 39.8

Structure:
```
data_Co3O4
_space_group_name_H-M_alt 'I m m a'
_space_group_IT_number 74
_space_group_name_Hall '-I 2b 2'
_cell_length_a 6.001
_cell_length_b 6.117
_cell_length_c 7.995
_cell_angle_alpha 90.00
_cell_angle_beta 90.00
_cell_angle_gamma 90.00
loop_
_atom_site_label
_atom_site_fract_x
_atom_site_fract_y
_atom_site_fract_z
_atom_site_occupancy
Co1 0.000 0.000 0.000 1
Co2 0.000 0.250 0.370 1
Co3 0.250 0.250 0.750 1
O1 0.000 0.017 0.765 1
O2 0.230 0.250 0.989 1
```

Structure and computed powder diffractogram of Sr2HfMgFeO6 (a structure optimized by DFT (GGA+U); copper Kα).
Peak positions follow from Bragg's law for the DFT cell and can differ from measured ones.

Peak list (6 most intense, 10 to 80 degrees two-theta, by intensity)
- 2θ 28.77, I = 100.0
- 2θ 30.95, I = 79.1
- 2θ 17.94, I = 59.5
- 2θ 44.33, I = 50.3
- 2θ 32.14, I = 40.7
- 2θ 18.61, I = 28.9

Structure:
```
data_Sr2HfMgFeO6
_space_group_name_H-M_alt 'C 1 2/m 1'
_space_group_IT_number 12
_cell_length_a 11.134
_cell_length_b 5.775
_cell_length_c 5.784
_cell_angle_alpha 90.00
_cell_angle_beta 121.09
_cell_angle_gamma 90.00
loop_
_space_group_symop_operation_xyz
'x,y,z'
'-x,-y,-z'
'-x,y,-z'
'x,-y,z'
'x+1/2,y+1/2,z'
'-x+1/2,-y+1/2,-z'
'-x+1/2,y+1/2,-z'
'x+1/2,-y+1/2,z'
loop_
_atom_site_label
_atom_site_fract_x
_atom_site_fract_y
_atom_site_fract_z
_atom_site_occupancy
Sr1 0.182 0.000 0.182 1
Hf1 0.000 0.500 0.000 1
Mg1 0.000 0.500 0.500 1
Fe1 0.000 0.000 0.500 1
O1 0.000 0.252 0.254 1
O2 0.224 0.500 0.224 1
```